# LiMnPO4
Calculated powder diffraction line list, Cu Kα X-rays. Input: the PBE+U geometry in the Materials Project.

Cell: 6.3248 5.6306 8.4994 Å, 90.00 90.00 90.00°
Positions (direct):
Li 0.2470 0.2500 0.0856
Li 0.2530 0.7500 0.5856
Li 0.7470 0.2500 0.4144
Li 0.7530 0.7500 0.9144
Mn 0.0021 0.2500 0.7501
Mn 0.4979 0.7500 0.2501
Mn 0.5021 0.2500 0.7499
Mn 0.9979 0.7500 0.2499
P 0.2473 0.2500 0.3971
P 0.2527 0.7500 0.8971
P 0.7473 0.2500 0.1029
P 0.7527 0.7500 0.6029
O 0.0459 0.2500 0.4983
O 0.0517 0.7500 0.9990
O 0.2478 0.0282 0.2833
O 0.2478 0.4718 0.2833
O 0.2522 0.5282 0.7833
O 0.2522 0.9718 0.7833
O 0.4483 0.2500 0.4990
O 0.4541 0.7500 0.9983
O 0.5459 0.2500 0.0017
O 0.5517 0.7500 0.5010
O 0.7478 0.0282 0.2167
O 0.7478 0.4718 0.2167
O 0.7522 0.5282 0.7167
O 0.7522 0.9718 0.7167
O 0.9483 0.2500 0.0010
O 0.9541 0.7500 0.5017

Peak list (10 most intense, 10 to 90 degrees two-theta, low angle first)
| d/Å | Position (°2θ) | I (rel.) |
| --- | --- | --- |
| 4.694 | 18.91 | 25 |
| 4.250 | 20.90 | 23 |
| 3.769 | 23.60 | 43 |
| 3.527 | 25.25 | 27 |
| 2.815 | 31.78 | 40 |
| 2.623 | 34.19 | 100 |
| 2.531 | 35.47 | 49 |
| 2.103 | 43.01 | 22 |
| 1.885 | 48.29 | 24 |
| 1.495 | 62.10 | 35 |